Diffraction record for BaH2O2. The X-ray diffraction stick pattern is calculated, not measured: it uses a PBE-relaxed structure and Cu Kα.
Kinematic intensities with the Lorentz-polarization factor, no thermal factor.

Main lines, by intensity (10° ≤ 2θ ≤ 90°):
d_spacing  two_theta  I/Imax
4.699  18.89  100
3.745  23.76  38
3.725  23.89  37
3.117  28.64  23
3.083  28.96  19
2.491  36.05  15
2.474  36.32  15
2.350  38.31  15
2.885  30.99  14
2.848  31.41  13
2.421  37.14  12
2.453  36.64  12

Structure:
```
data_BaH2O2
_chemical_formula_sum 'Ba8 H16 O16'
_cell_length_a 6.8694
_cell_length_b 8.1412
_cell_length_c 9.4923
_cell_angle_alpha 90.27
_cell_angle_beta 98.07
_cell_angle_gamma 91.06
_symmetry_space_group_name_H-M 'P 1'
_symmetry_Int_Tables_number 1
loop_
_symmetry_equiv_pos_as_xyz
'x,y,z'
loop_
_atom_site_label
_atom_site_type_symbol
_atom_site_fract_x
_atom_site_fract_y
_atom_site_fract_z
_atom_site_occupancy
Ba1 Ba 0.0000 0.0000 0.0000 1
Ba2 Ba 0.0535 0.2805 0.4682 1
Ba3 Ba 0.2154 0.8017 0.5476 1
Ba4 Ba 0.3028 0.5029 0.0018 1
Ba5 Ba 0.4976 0.2177 0.4948 1
Ba6 Ba 0.5707 0.9094 0.9751 1
Ba7 Ba 0.7217 0.3942 0.0378 1
Ba8 Ba 0.8056 0.7070 0.5013 1
H1 H 0.0214 0.4619 0.1249 1
H2 H 0.0263 0.5031 0.8067 1
H3 H 0.2243 0.5112 0.4149 1
H4 H 0.2744 0.1218 0.6382 1
H5 H 0.2749 0.0071 0.2201 1
H6 H 0.2796 0.9710 0.8995 1
H7 H 0.4228 0.2006 0.9863 1
H8 H 0.4644 0.5379 0.6460 1
H9 H 0.5145 0.8102 0.4517 1
H10 H 0.5286 0.5754 0.3084 1
H11 H 0.7139 0.6710 0.8506 1
H12 H 0.7568 0.1171 0.3014 1
H13 H 0.7739 0.3086 0.5720 1
H14 H 0.7761 0.0685 0.7105 1
H15 H 0.9101 0.0014 0.4805 1
H16 H 0.9461 0.6819 0.1352 1
O1 O 0.0141 0.6709 0.2567 1
O2 O 0.0163 0.3483 0.0694 1
O3 O 0.0740 0.5485 0.7012 1
O4 O 0.2245 0.0599 0.3202 1
O5 O 0.2757 0.8570 0.9498 1
O6 O 0.2831 0.1676 0.7714 1
O7 O 0.3228 0.4851 0.4051 1
O8 O 0.4917 0.2249 0.1050 1
O9 O 0.5147 0.8870 0.5637 1
O10 O 0.5244 0.5170 0.7718 1
O11 O 0.5731 0.6451 0.2198 1
O12 O 0.7287 0.1472 0.7885 1
O13 O 0.7694 0.3608 0.4429 1
O14 O 0.8000 0.0165 0.2577 1
O15 O 0.8038 0.7273 0.9011 1
O16 O 0.9750 0.9858 0.6081 1
```